(1)
Theoretical X-ray powder pattern
Compound: RbNaCuP
Radiation: a wavelength of 1.5418 Å
Structure: a DFT-relaxed cell (PBE, OQMD)

Top 10 peaks for 2θ from 10° to 90°, in order of rising 2θ:
- (0 0 1), 14.6 deg, I = 97
- (1 1 -1), 24.3 deg, I = 42
- (1 1 1), 28.8 deg, I = 92
- (2 0 -1), 29.9 deg, I = 100
- (1 1 -2), 33.7 deg, I = 90
- (2 1 -1), 34.3 deg, I = 43
- (1 2 0), 36.4 deg, I = 71
- (1 0 2), 36.7 deg, I = 52
- (1 2 1), 40.9 deg, I = 64
- (0 2 2), 44.7 deg, I = 45

```
data_RbNaCuP
_chemical_formula_sum 'Rb2 Na2 Cu2 P2'
_symmetry_space_group_name_H-M 'P 1 21/m 1'
_symmetry_Int_Tables_number 11
_symmetry_space_group_name_Hall '-P 2yb'
_cell_length_a 6.1291
_cell_length_b 5.4420
_cell_length_c 6.2906
_cell_angle_alpha 90.00
_cell_angle_beta 105.29
_cell_angle_gamma 90.00
loop_
_atom_site_label
_atom_site_fract_x
_atom_site_fract_y
_atom_site_fract_z
Rb1 0.0462 0.2500 0.1923
Na1 0.3513 0.7500 0.5241
Cu1 0.5000 0.0000 0.0000
P1 0.3020 0.2500 0.7335
```

***

(2)
Theoretical X-ray powder pattern
Compound: NaCuPS4
Radiation: a wavelength of 1.5418 Å
Structure: a DFT-relaxed cell (PBE, OQMD)

Top 10 peaks for 2θ from 10° to 90°, in order of rising 2θ:
- (1 1 0), 17.1 deg, I = 100
- (1 1 2), 22.6 deg, I = 18
- (2 0 0), 24.2 deg, I = 17
- (2 1 1), 28.1 deg, I = 33
- (2 2 0), 34.5 deg, I = 21
- (2 1 3), 35.2 deg, I = 33
- (2 0 4), 38.6 deg, I = 43
- (3 1 2), 41.7 deg, I = 15
- (3 1 4), 49.5 deg, I = 29
- (4 0 4), 58.8 deg, I = 20

```
data_NaCuPS4
_chemical_formula_sum 'Na4 Cu4 P4 S16'
_symmetry_space_group_name_H-M 'I 4/m c m'
_symmetry_Int_Tables_number 140
_symmetry_space_group_name_Hall '-I 4 2c'
_cell_length_a 7.3449
_cell_length_b 7.3449
_cell_length_c 12.1044
_cell_angle_alpha 90.00
_cell_angle_beta 90.00
_cell_angle_gamma 90.00
loop_
_atom_site_label
_atom_site_fract_x
_atom_site_fract_y
_atom_site_fract_z
Na1 0.0000 0.0000 0.2500
Cu1 0.0000 0.5000 0.0000
P1 0.0000 0.5000 0.2500
S1 0.1519 0.3481 0.1408
```

***

(3)
Theoretical X-ray powder pattern
Compound: NaCuPdSe2S
Radiation: a wavelength of 1.5418 Å
Structure: a DFT-relaxed cell (PBE, OQMD)

Top 10 peaks for 2θ from 10° to 90°, in order of rising 2θ:
- (0 2 0), 14.0 deg, I = 83
- (0 0 2), 18.1 deg, I = 37
- (1 3 0), 32.2 deg, I = 55
- (1 3 1), 33.5 deg, I = 31
- (0 0 4), 36.6 deg, I = 45
- (1 3 2), 37.1 deg, I = 100
- (0 6 2), 46.9 deg, I = 22
- (1 5 2), 47.3 deg, I = 24
- (2 0 0), 49.2 deg, I = 25
- (1 3 4), 49.5 deg, I = 20

```
data_NaCuPdSe2S
_chemical_formula_sum 'Na4 Cu4 Pd4 Se8 S4'
_symmetry_space_group_name_H-M 'C m c m'
_symmetry_Int_Tables_number 63
_symmetry_space_group_name_Hall '-C 2c 2'
_cell_length_a 3.7070
_cell_length_b 12.6421
_cell_length_c 9.8209
_cell_angle_alpha 90.00
_cell_angle_beta 90.00
_cell_angle_gamma 90.00
loop_
_atom_site_label
_atom_site_fract_x
_atom_site_fract_y
_atom_site_fract_z
Na1 0.0000 0.2401 0.2500
Cu1 0.0000 0.0469 0.7500
Pd1 0.0000 0.5000 0.0000
Se1 0.0000 0.1388 0.5338
S1 0.0000 0.4429 0.7500
```